# 1
Theoretical powder XRD pattern
Compound: TbFe3H6
Radiation: λ = 1.5418 Å (Cu Kα)
Structure: a GGA-PBE-relaxed structure
Intensities are scaled so that the largest is 100.

Unit cell a=4.3900 b=4.3908 c=5.5510 alpha=89.94 beta=66.75 gamma=60.03
Space group P1 (No. 1)
Unique sites:
1 Tb 0.0000 0.0000 0.0000 x1
2 Fe 0.3674 0.8171 0.4478 x1
3 Fe 0.5938 0.2036 0.6083 x1
4 Fe 0.9347 0.5329 0.5968 x1
5 H 0.0290 0.7979 0.3843 x1
6 H 0.1094 0.4518 0.8384 x1
7 H 0.4117 0.1748 0.3837 x1
8 H 0.6001 0.9480 0.8383 x1
9 H 0.6130 0.4388 0.8386 x1
10 H 0.7884 0.4153 0.3835 x1

Most intense lines, 10° ≤ 2θ ≤ 90°, in order of rising 2θ:
| 2θ/deg | intensity | index |
| --- | --- | --- |
| 24.16 | 71 | 0 1 0 |
| 26.34 | 45 | 1 1 1 |
| 33.77 | 76 | 1 0 2 |
| 36.35 | 26 | 0 0 2 |
| 38.49 | 62 | 1 1 2 |
| 41.11 | 100 | 2 1 1 |
| 48.25 | 12 | 2 2 1 |
| 54.22 | 20 | 0 2 -2 |
| 55.98 | 22 | -1 1 1 |
| 56.07 | 22 | 2 1 3 |
| 57.62 | 12 | 2 2 -1 |
| 74.91 | 16 | 3 3 1 |



# 2
Theoretical powder XRD pattern
Compound: Tb2Fe17H3
Radiation: λ = 1.5418 Å (Cu Kα)
Structure: a GGA-PBE-relaxed structure
Intensities are scaled so that the largest is 100.

Unit cell a=8.5467 b=8.5467 c=8.1891 alpha=90.00 beta=90.00 gamma=120.00
Space group P6_3/mmc (No. 194)
Unique sites:
1 Tb 0.0000 0.0000 0.2500 x2
2 Tb 0.3333 0.6667 0.2500 x2
3 Fe 0.0000 0.5000 0.0000 x6
4 Fe 0.0484 0.3774 0.7500 x12
5 Fe 0.1668 0.3336 0.0155 x12
6 Fe 0.3333 0.6667 0.6058 x4
7 H 0.1650 0.3299 0.2500 x6

Most intense lines, 10° ≤ 2θ ≤ 90°, in order of rising 2θ:
| 2θ/deg | intensity | index |
| --- | --- | --- |
| 30.23 | 44 | 1 1 2 |
| 36.42 | 41 | 3 0 0 |
| 41.09 | 34 | 2 0 3 |
| 42.30 | 67 | 2 2 0 |
| 42.79 | 100 | 3 0 2 |
| 44.24 | 32 | 0 0 4 |
| 46.48 | 18 | 2 1 3 |
| 48.03 | 17 | 2 2 2 |
| 61.74 | 20 | 4 1 2 |
| 62.87 | 19 | 2 2 4 |
| 77.35 | 16 | 6 0 0 |
| 80.39 | 24 | 3 0 6 |



# 3
Theoretical powder XRD pattern
Compound: Tb2Ti2Fe22H
Radiation: λ = 1.5418 Å (Cu Kα)
Structure: a GGA-PBE-relaxed structure
Intensities are scaled so that the largest is 100.

Unit cell a=11.9797 b=4.7176 c=11.9887 alpha=90.00 beta=90.10 gamma=90.00
Space group Cm (No. 8)
Unique sites:
1 Tb 0.0000 0.0000 0.0000 x2
2 Tb 0.9999 0.5000 0.5000 x2
3 Ti 0.3115 0.0000 0.6872 x2
4 Ti 0.3135 0.5000 0.1875 x2
5 Fe 0.1052 0.0000 0.6120 x2
6 Fe 0.1080 0.5000 0.1150 x2
7 Fe 0.1111 0.5000 0.8879 x2
8 Fe 0.1139 0.0000 0.3868 x2
9 Fe 0.1734 0.0000 0.8257 x2
10 Fe 0.1744 0.5000 0.6814 x2
11 Fe 0.1751 0.5000 0.3255 x2
12 Fe 0.1767 0.0000 0.1809 x2
13 Fe 0.2471 0.2496 0.0018 x4
14 Fe 0.2470 0.2506 0.5018 x4
15 Fe 0.3176 0.5000 0.8246 x2
16 Fe 0.3200 0.0000 0.3243 x2
17 Fe 0.3825 0.5000 0.6167 x2
18 Fe 0.3848 0.0000 0.1161 x2
19 Fe 0.3851 0.0000 0.8921 x2
20 Fe 0.3879 0.5000 0.3945 x2
21 Fe 0.4973 0.2506 0.7522 x4
22 Fe 0.4990 0.2496 0.2535 x4
23 H 0.4995 0.0000 0.0007 x2

Most intense lines, 10° ≤ 2θ ≤ 90°, in order of rising 2θ:
| 2θ/deg | intensity | index |
| --- | --- | --- |
| 30.25 | 41 | 1 1 3 |
| 33.44 | 15 | 4 0 -2 |
| 37.10 | 45 | 3 1 3 |
| 38.15 | 16 | 0 2 0 |
| 42.68 | 61 | 4 0 -4 |
| 43.00 | 100 | 5 1 1 |
| 43.93 | 70 | 2 2 -2 |
| 48.02 | 11 | 2 0 6 |
| 49.16 | 24 | 4 2 0 |
| 62.91 | 13 | 6 2 -2 |
| 72.29 | 20 | 5 3 1 |
| 78.33 | 14 | 9 1 -3 |



# 4
Theoretical powder XRD pattern
Compound: ThFe2H7
Radiation: λ = 1.5418 Å (Cu Kα)
Structure: a GGA-PBE-relaxed structure
Intensities are scaled so that the largest is 100.

Unit cell a=5.0596 b=8.0938 c=3.6657 alpha=90.00 beta=90.00 gamma=90.00
Space group Cmmm (No. 65)
Unique sites:
1 Th 0.0000 0.0000 0.0000 x2
2 Fe 0.0000 0.3021 0.5000 x4
3 H 0.0000 0.3073 0.0000 x4
4 H 0.0000 0.5000 0.5000 x2
5 H 0.1908 0.1396 0.5000 x8

Most intense lines, 10° ≤ 2θ ≤ 90°, in order of rising 2θ:
| 2θ/deg | intensity | index |
| --- | --- | --- |
| 20.70 | 71 | 1 1 0 |
| 21.96 | 14 | 0 2 0 |
| 32.12 | 100 | 1 1 1 |
| 32.97 | 68 | 0 2 1 |
| 35.48 | 33 | 2 0 0 |
| 37.79 | 49 | 1 3 0 |
| 49.21 | 44 | 2 2 1 |
| 49.75 | 13 | 0 0 2 |
| 61.61 | 16 | 3 1 1 |
| 64.14 | 29 | 1 3 2 |
| 65.70 | 21 | 1 5 1 |
| 86.28 | 14 | 3 3 2 |



# 5
Theoretical powder XRD pattern
Compound: Ti4FeH
Radiation: λ = 1.5418 Å (Cu Kα)
Structure: a GGA-PBE-relaxed structure
Intensities are scaled so that the largest is 100.

Unit cell a=5.2266 b=5.6717 c=5.5663 alpha=90.00 beta=99.27 gamma=90.00
Space group P2_1/c (No. 14)
Unique sites:
1 Ti 0.1387 0.1638 0.1643 x4
2 Ti 0.3251 0.6415 0.1044 x4
3 Fe 0.5000 0.0000 0.0000 x2
4 H 0.0000 0.0000 0.5000 x2

Most intense lines, 10° ≤ 2θ ≤ 90°, in order of rising 2θ:
| 2θ/deg | intensity | index |
| --- | --- | --- |
| 17.19 | 23 | 1 0 0 |
| 35.63 | 76 | 0 2 1 |
| 36.15 | 27 | 1 2 0 |
| 38.01 | 59 | 1 1 -2 |
| 38.34 | 72 | 2 1 0 |
| 38.59 | 22 | 1 2 -1 |
| 39.46 | 79 | 2 1 -1 |
| 39.58 | 100 | 1 0 2 |
| 41.01 | 43 | 1 2 1 |
| 52.81 | 30 | 1 1 -3 |
| 53.35 | 26 | 1 3 -1 |
| 61.25 | 20 | 3 1 1 |



# 6
Theoretical powder XRD pattern
Compound: TiFeH
Radiation: λ = 1.5418 Å (Cu Kα)
Structure: a GGA-PBE-relaxed structure
Intensities are scaled so that the largest is 100.

Unit cell a=4.2569 b=2.9063 c=4.5545 alpha=90.00 beta=90.00 gamma=90.00
Space group Pmma (No. 51)
Unique sites:
1 Ti 0.2500 0.0000 0.2478 x2
2 Fe 0.2500 0.5000 0.8023 x2
3 H 0.0000 0.5000 0.5000 x2

Most intense lines, 10° ≤ 2θ ≤ 90°, in order of rising 2θ:
| 2θ/deg | intensity | index |
| --- | --- | --- |
| 19.49 | 6 | 0 0 1 |
| 39.57 | 25 | 0 0 2 |
| 42.47 | 26 | 2 0 0 |
| 42.58 | 100 | 1 1 1 |
| 45.15 | 5 | 1 0 2 |
| 55.63 | 6 | 1 1 2 |
| 59.44 | 14 | 2 0 2 |
| 64.08 | 7 | 0 2 0 |
| 73.86 | 10 | 1 1 3 |
| 77.78 | 14 | 3 1 1 |
| 78.00 | 6 | 0 2 2 |
| 79.94 | 7 | 2 2 0 |



# 7
Theoretical powder XRD pattern
Compound: TiFe2H
Radiation: λ = 1.5418 Å (Cu Kα)
Structure: a GGA-PBE-relaxed structure
Intensities are scaled so that the largest is 100.

Unit cell a=7.0555 b=7.0555 c=7.0555 alpha=90.00 beta=90.00 gamma=90.00
Space group Fd-3m (No. 227, origin choice 2)
Unique sites:
1 Ti 0.1250 0.1250 0.1250 x8
2 Fe 0.0000 0.0000 0.5000 x16
3 H 0.1250 0.1250 0.6250 x8

Most intense lines, 10° ≤ 2θ ≤ 90°, in order of rising 2θ:
| 2θ/deg | intensity | index |
| --- | --- | --- |
| 21.82 | 17 | 1 1 1 |
| 36.00 | 23 | 2 2 0 |
| 42.49 | 100 | 3 1 1 |
| 44.48 | 48 | 2 2 2 |
| 51.83 | 8 | 4 0 0 |
| 56.88 | 3 | 3 3 1 |
| 64.73 | 7 | 4 2 2 |
| 69.19 | 28 | 5 1 1 |
| 76.35 | 25 | 4 4 0 |
| 80.54 | 2 | 5 3 1 |
| 87.43 | 3 | 6 2 0 |



# 8
Theoretical powder XRD pattern
Compound: UFeH6
Radiation: λ = 1.5418 Å (Cu Kα)
Structure: a GGA-PBE-relaxed structure
Intensities are scaled so that the largest is 100.

Unit cell a=4.2629 b=4.2629 c=10.6738 alpha=90.00 beta=90.00 gamma=120.00
Space group R-3m (No. 166, hexagonal axes)
Unique sites:
1 U 0.0000 0.0000 0.0000 x3
2 Fe 0.0000 0.0000 0.5000 x3
3 H 0.0272 0.5136 0.9106 x18

Most intense lines, 10° ≤ 2θ ≤ 90°, in order of rising 2θ:
| 2θ/deg | intensity | index |
| --- | --- | --- |
| 25.03 | 17 | 0 0 3 |
| 25.53 | 47 | 1 0 1 |
| 29.42 | 100 | 0 1 2 |
| 41.77 | 40 | 1 0 4 |
| 42.41 | 38 | 1 1 0 |
| 49.31 | 9 | 0 1 5 |
| 49.87 | 17 | 1 1 3 |
| 52.45 | 21 | 2 0 2 |
| 61.04 | 13 | 0 2 4 |
| 68.73 | 19 | 1 1 6 |
| 69.65 | 18 | 1 2 2 |
| 77.14 | 14 | 2 1 4 |



# 9
Theoretical powder XRD pattern
Compound: UFe5H11
Radiation: λ = 1.5418 Å (Cu Kα)
Structure: a GGA-PBE-relaxed structure
Intensities are scaled so that the largest is 100.

Unit cell a=7.8725 b=7.6536 c=4.5702 alpha=90.00 beta=119.76 gamma=90.00
Space group C2/m (No. 12)
Unique sites:
1 U 0.0000 0.0000 0.0000 x2
2 Fe 0.0000 0.5000 0.0000 x2
3 Fe 0.1972 0.1750 0.6976 x8
4 H 0.0000 0.0000 0.5000 x2
5 H 0.0958 0.2571 0.3055 x8
6 H 0.1973 0.3695 0.8886 x8
7 H 0.2263 0.5000 0.4330 x4

Most intense lines, 10° ≤ 2θ ≤ 90°, in order of rising 2θ:
| 2θ/deg | intensity | index |
| --- | --- | --- |
| 17.40 | 100 | 1 1 0 |
| 22.41 | 30 | 0 0 1 |
| 24.53 | 24 | 2 0 -1 |
| 32.51 | 60 | 0 2 1 |
| 33.36 | 32 | 1 1 1 |
| 34.05 | 54 | 2 2 -1 |
| 35.21 | 70 | 2 2 0 |
| 36.32 | 26 | 3 1 -1 |
| 39.63 | 43 | 2 0 -2 |
| 40.54 | 48 | 1 3 -1 |
| 42.64 | 30 | 2 0 1 |
| 46.26 | 25 | 4 0 -1 |



# 10
Theoretical powder XRD pattern
Compound: V3FeH
Radiation: λ = 1.5418 Å (Cu Kα)
Structure: a GGA-PBE-relaxed structure
Intensities are scaled so that the largest is 100.

Unit cell a=6.8698 b=4.6141 c=8.5517 alpha=90.00 beta=128.05 gamma=90.00
Space group P2_1/c (No. 14)
Unique sites:
1 V 0.0395 0.0377 0.2722 x4
2 V 0.3378 0.2479 0.6695 x4
3 V 0.4026 0.7428 0.4504 x4
4 Fe 0.1362 0.7449 0.5679 x4
5 H 0.2719 0.1505 0.8507 x4

Most intense lines, 10° ≤ 2θ ≤ 90°, in order of rising 2θ:
| 2θ/deg | intensity | index |
| --- | --- | --- |
| 39.04 | 38 | 0 2 0 |
| 39.28 | 22 | 1 0 2 |
| 39.56 | 24 | 3 0 -2 |
| 42.27 | 100 | 2 0 -4 |
| 42.60 | 23 | 1 2 0 |
| 44.09 | 98 | 1 1 2 |
| 44.35 | 93 | 3 1 -2 |
| 44.63 | 41 | 1 2 -2 |
| 47.79 | 30 | 0 2 2 |
| 47.91 | 30 | 2 2 -2 |
| 58.90 | 21 | 2 2 -4 |
| 78.95 | 21 | 5 1 -6 |



# 11
Theoretical powder XRD pattern
Compound: VFeH4
Radiation: λ = 1.5418 Å (Cu Kα)
Structure: a GGA-PBE-relaxed structure
Intensities are scaled so that the largest is 100.

Unit cell a=2.9028 b=2.9028 c=4.1162 alpha=90.00 beta=90.00 gamma=90.00
Space group P4/mmm (No. 123)
Unique sites:
1 V 0.0000 0.0000 0.0000 x1
2 Fe 0.5000 0.5000 0.5000 x1
3 H 0.0000 0.5000 0.2720 x4

Most intense lines, 10° ≤ 2θ ≤ 90°, in order of rising 2θ:
| 2θ/deg | intensity | index |
| --- | --- | --- |
| 21.59 | 1 | 0 0 1 |
| 30.80 | 1 | 1 0 0 |
| 37.93 | 100 | 1 0 1 |
| 44.00 | 15 | 0 0 2 |
| 44.12 | 29 | 1 1 0 |
| 64.10 | 29 | 2 0 0 |
| 76.85 | 10 | 1 0 3 |
| 77.03 | 21 | 2 1 1 |
| 81.08 | 9 | 2 0 2 |



# 12
Theoretical powder XRD pattern
Compound: VFe2H
Radiation: λ = 1.5418 Å (Cu Kα)
Structure: a GGA-PBE-relaxed structure
Intensities are scaled so that the largest is 100.

Unit cell a=4.2820 b=8.3856 c=4.2668 alpha=90.00 beta=90.00 gamma=90.00
Space group Cccm (No. 66)
Unique sites:
1 V 0.2500 0.2500 0.0000 x4
2 Fe 0.2304 0.0906 0.5000 x8
3 H 0.0000 0.5000 0.2500 x4

Most intense lines, 10° ≤ 2θ ≤ 90°, in order of rising 2θ:
| 2θ/deg | intensity | index |
| --- | --- | --- |
| 23.33 | 1 | 1 1 0 |
| 31.46 | 2 | 1 1 1 |
| 42.21 | 28 | 2 0 0 |
| 42.37 | 29 | 0 0 2 |
| 44.13 | 100 | 1 3 1 |
| 52.57 | 1 | 2 2 1 |
| 61.35 | 17 | 2 0 2 |
| 66.95 | 6 | 0 6 0 |
| 78.51 | 14 | 3 3 1 |
| 78.73 | 15 | 1 3 3 |
| 82.41 | 6 | 2 6 0 |
| 82.51 | 7 | 0 6 2 |